Diffraction record for NaCoO2. The powder diffractogram is simulated, not measured: it uses a DFT-relaxed cell (PBE+U, Alexandria) and Cu Kα, 1.54184 Å.

Top 8 peaks for 2θ from 10° to 90°, in order of rising 2θ:
d_spacing  two_theta  I (rel.)
6.314  14.03  84
3.857  23.06  37
2.658  33.73  28
2.452  36.65  35
2.411  37.30  81
2.114  42.77  100
1.597  57.74  34
1.583  58.30  35

Cell and atoms:
```
data_NaCoO2
_chemical_formula_sum 'Na2 Co2 O4'
_symmetry_space_group_name_H-M 'P 1 21/m 1'
_symmetry_Int_Tables_number 11
_cell_length_a 4.8225
_cell_length_b 2.8475
_cell_length_c 6.3145
_cell_angle_alpha 90.00
_cell_angle_beta 90.77
_cell_angle_gamma 90.00
loop_
_symmetry_equiv_pos_as_xyz
'x,y,z'
'-x,-y,-z'
'-x,y+1/2,-z'
'x,-y+1/2,z'
loop_
_atom_site_label
_atom_site_fract_x
_atom_site_fract_y
_atom_site_fract_z
_atom_site_occupancy
Na1 0.2445 0.2500 0.3733 1
Co1 0.2716 0.2500 0.8761 1
O1 0.2504 0.7500 0.6752 1
O2 0.2703 0.7500 0.0787 1
```